(1)
For SrCaGdNbO6, a crystal structure in the Materials Project, relaxed with PBE gives the calculated XRD peak list in this record (Cu Kα).
Kinematic intensities with the Lorentz-polarization factor, no thermal factor.

Top 6 peaks for 10 to 90 degrees two-theta, in order of rising 2θ:
d (Å)	2theta	I (rel.)
4.234	20.98	241
2.994	29.84	1000
2.117	42.71	344
1.728	52.98	399
1.497	62.00	208
1.132	85.89	209

```
SrCaGdNbO6
1.0
0.000 4.234 4.234
4.234 0.000 4.234
4.234 4.234 0.000
Sr Ca Gd Nb O
1 1 1 1 6
Direct
0.000 0.000 0.000
0.500 0.500 0.500
0.250 0.250 0.250
0.750 0.750 0.750
0.513 0.513 0.987
0.513 0.987 0.513
0.513 0.987 0.987
0.987 0.513 0.513
0.987 0.513 0.987
0.987 0.987 0.513
```

(2)
For PbI2, a crystal structure in the Materials Project, relaxed with PBE gives the calculated XRD peak list in this record (Cu Kα).
Kinematic intensities with the Lorentz-polarization factor, no thermal factor.

Top 6 peaks for 10 to 90 degrees two-theta, in order of rising 2θ:
d (Å)	2theta	I (rel.)
7.441	11.89	851
3.620	24.59	1000
3.415	26.09	571
2.865	31.22	362
2.335	38.56	799
1.455	64.00	398

```
PbI2
1.0
2.335 1.348 29.763
-2.335 1.348 29.763
0.000 -2.696 29.763
Pb I
4 8
Direct
0.000 0.000 0.000
0.083 0.083 0.083
0.500 0.500 0.500
0.917 0.917 0.917
0.188 0.188 0.188
0.271 0.271 0.271
0.354 0.354 0.354
0.438 0.438 0.438
0.562 0.562 0.562
0.646 0.646 0.646
0.729 0.729 0.729
0.812 0.812 0.812
```

(3)
For Mg14CoSi, a crystal structure in the Materials Project, relaxed with PBE gives the calculated XRD peak list in this record (Cu Kα).
Kinematic intensities with the Lorentz-polarization factor, no thermal factor.

Top 6 peaks for 10 to 90 degrees two-theta, in order of rising 2θ:
d (Å)	2theta	I (rel.)
2.706	33.11	229
2.480	36.22	335
2.375	37.88	1000
2.352	38.27	431
1.549	59.70	154
1.314	71.87	145

```
Mg14CoSi
1.0
9.920 0.000 0.000
0.000 3.138 5.342
0.000 -3.138 5.342
Mg Co Si
14 1 1
Direct
0.000 0.000 0.000
0.000 0.005 0.503
0.000 0.500 0.500
0.000 0.503 0.005
0.250 0.670 0.670
0.257 0.166 0.166
0.281 0.172 0.682
0.281 0.682 0.172
0.500 0.483 0.985
0.500 0.985 0.483
0.719 0.172 0.682
0.719 0.682 0.172
0.743 0.166 0.166
0.750 0.670 0.670
0.500 0.013 0.013
0.500 0.511 0.511
```